[1]
Starting from a structure optimized by DFT (GGA-PBE), the powder XRD pattern of HoB4Os was computed for λ = 1.5418 Å (Cu Kα).

Largest 10 diffraction maxima, in order of rising 2θ, 2θ = 15–90°:
24.98°, I = 88, hkl 0 0 1
31.00°, I = 86, hkl 0 4 0
34.56°, I = 22, hkl 1 4 0
38.21°, I = 30, hkl 2 3 0
40.22°, I = 100, hkl 0 4 1
43.12°, I = 28, hkl 1 4 1
46.19°, I = 39, hkl 2 3 1
51.26°, I = 19, hkl 0 0 2
61.12°, I = 26, hkl 0 4 2
72.49°, I = 13, hkl 1 8 1

Structure:
Lattice parameters (Å, degrees): 5.9625 11.5304 3.5645 90.00 90.00 90.00
Space group Pbam (No. 55)
Asymmetric unit:
1 Ho 0.1281 0.1503 0.0000 (multiplicity 4)
2 B 0.0253 0.6915 0.5000 (multiplicity 4)
3 B 0.1128 0.5468 0.5000 (multiplicity 4)
4 B 0.1360 0.9700 0.5000 (multiplicity 4)
5 B 0.2109 0.8141 0.5000 (multiplicity 4)
6 Os 0.1413 0.4065 0.0000 (multiplicity 4)

***

[2]
Starting from a structure optimized by DFT (GGA-PBE), the powder XRD pattern of CaCuSn was computed for λ = 1.5418 Å (Cu Kα).

Largest 10 diffraction maxima, in order of rising 2θ, 2θ = 15–90°:
22.29°, I = 29, hkl 1 0 1
24.25°, I = 34, hkl 0 6 0
32.10°, I = 23, hkl 1 3 2
33.17°, I = 100, hkl 1 6 1
38.50°, I = 28, hkl 0 9 1
39.04°, I = 40, hkl 2 0 0
39.16°, I = 72, hkl 1 0 3
46.60°, I = 29, hkl 1 6 3
47.89°, I = 20, hkl 1 9 2
55.99°, I = 18, hkl 2 9 1

Structure:
Lattice parameters (Å, degrees): 4.6147 22.0175 7.9604 90.00 90.00 90.00
Space group Imm2 (No. 44)
Asymmetric unit:
1 Ca 0.0000 0.0000 0.0000 (multiplicity 2)
2 Ca 0.0000 0.1651 0.0760 (multiplicity 4)
3 Ca 0.0000 0.3312 0.0008 (multiplicity 4)
4 Ca 0.0000 0.5000 0.0761 (multiplicity 2)
5 Cu 0.0000 0.0725 0.3732 (multiplicity 4)
6 Cu 0.0000 0.2320 0.7034 (multiplicity 4)
7 Cu 0.0000 0.3969 0.3722 (multiplicity 4)
8 Sn 0.0000 0.0975 0.7019 (multiplicity 4)
9 Sn 0.0000 0.2660 0.3752 (multiplicity 4)
10 Sn 0.0000 0.4314 0.7026 (multiplicity 4)

***

[3]
Starting from a structure optimized by DFT (GGA-PBE), the powder XRD pattern of BaPPt was computed for λ = 1.5418 Å (Cu Kα).

Largest 10 diffraction maxima, in order of rising 2θ, 2θ = 15–90°:
23.26°, I = 9, hkl 1 1 1
30.17°, I = 100, hkl 2 1 0
33.13°, I = 75, hkl 2 1 1
40.87°, I = 10, hkl 2 2 1
45.41°, I = 14, hkl 3 1 1
51.63°, I = 51, hkl 3 1 2
55.49°, I = 14, hkl 4 0 0
60.97°, I = 14, hkl 3 3 1
64.46°, I = 18, hkl 4 2 1
77.62°, I = 16, hkl 5 0 2

Structure:
Lattice parameters (Å, degrees): 6.6239 6.6239 6.6239 90.00 90.00 90.00
Space group P2_13 (No. 198)
Asymmetric unit:
1 Ba 0.1403 0.1403 0.1403 (multiplicity 4)
2 P 0.0837 0.5837 0.9163 (multiplicity 4)
3 Pt 0.1509 0.3491 0.6509 (multiplicity 4)

***

[4]
Starting from a structure optimized by DFT (GGA-PBE), the powder XRD pattern of Bi5IO7 was computed for λ = 1.5418 Å (Cu Kα).

Largest 10 diffraction maxima, in order of rising 2θ, 2θ = 15–90°:
27.58°, I = 100, hkl 0 0 4
28.80°, I = 20, hkl 6 0 -2
30.21°, I = 39, hkl 3 1 -3
30.90°, I = 12, hkl 6 0 -3
36.18°, I = 10, hkl 6 0 2
42.39°, I = 18, hkl 0 2 0
47.05°, I = 15, hkl 3 1 5
48.25°, I = 12, hkl 9 1 -2
51.33°, I = 12, hkl 0 2 4
52.07°, I = 14, hkl 6 2 -2

Structure:
Lattice parameters (Å, degrees): 18.9374 4.2641 13.4933 90.00 106.54 90.00
Space group C2/m (No. 12)
Asymmetric unit:
1 Bi 0.0312 0.0000 0.3650 (multiplicity 4)
2 Bi 0.1050 0.0000 0.1298 (multiplicity 4)
3 Bi 0.1228 0.5000 0.5893 (multiplicity 4)
4 Bi 0.2052 0.5000 0.3697 (multiplicity 4)
5 Bi 0.2391 0.0000 0.8648 (multiplicity 4)
6 I 0.0711 0.5000 0.8712 (multiplicity 4)
7 O 0.0704 0.5000 0.4130 (multiplicity 4)
8 O 0.0848 0.0000 0.5286 (multiplicity 4)
9 O 0.1265 0.0000 0.2989 (multiplicity 4)
10 O 0.1504 0.5000 0.1682 (multiplicity 4)
11 O 0.1984 0.0000 0.7021 (multiplicity 4)
12 O 0.2156 0.0000 0.1152 (multiplicity 4)
13 O 0.2278 0.5000 0.5589 (multiplicity 4)

***

[5]
Starting from a structure optimized by DFT (GGA-PBE), the powder XRD pattern of Re3O10 was computed for λ = 1.5418 Å (Cu Kα).

Largest 10 diffraction maxima, in order of rising 2θ, 2θ = 15–90°:
17.47°, I = 60, hkl 1 1 0
17.95°, I = 57, hkl 1 1 -1
22.98°, I = 100, hkl 0 0 2
23.70°, I = 61, hkl 0 2 0
23.85°, I = 67, hkl 2 0 -1
26.38°, I = 44, hkl 0 2 1
32.87°, I = 27, hkl 1 1 2
33.24°, I = 35, hkl 0 2 2
33.87°, I = 39, hkl 2 2 -1
49.97°, I = 29, hkl 0 4 1

Structure:
Lattice parameters (Å, degrees): 7.4760 7.5090 8.4005 90.00 112.85 90.00
Space group C2 (No. 5)
Asymmetric unit:
1 Re 0.0000 0.0000 0.0000 (multiplicity 2)
2 Re 0.2342 0.0865 0.4643 (multiplicity 4)
3 O 0.0000 0.0858 0.5000 (multiplicity 2)
4 O 0.0000 0.5855 0.5000 (multiplicity 2)
5 O 0.1285 0.0896 0.2210 (multiplicity 4)
6 O 0.1558 0.8189 0.9605 (multiplicity 4)
7 O 0.2491 0.8366 0.4969 (multiplicity 4)
8 O 0.2488 0.9885 0.9614 (multiplicity 4)

***

[6]
Starting from a structure optimized by DFT (GGA-PBE), the powder XRD pattern of Mn3V2Ga2Co was computed for λ = 1.5418 Å (Cu Kα).

Largest 6 diffraction maxima, in order of rising 2θ, 2θ = 15–90°:
26.71°, I = 2, hkl 0 1 2
44.32°, I = 100, hkl 1 1 0
52.50°, I = 1, hkl 1 0 10
64.47°, I = 15, hkl 2 0 8
71.08°, I = 1, hkl 0 2 10
81.58°, I = 29, hkl 3 0 0

Structure:
Lattice parameters (Å, degrees): 4.0867 4.0867 20.0396 90.00 90.00 120.00
Space group R3m (No. 160, hexagonal axes)
Asymmetric unit:
1 Mn 0.0000 0.0000 0.0000 (multiplicity 3)
2 Mn 0.0000 0.0000 0.2503 (multiplicity 3)
3 Mn 0.0000 0.0000 0.5010 (multiplicity 3)
4 V 0.0000 0.0000 0.3743 (multiplicity 3)
5 V 0.0000 0.0000 0.8763 (multiplicity 3)
6 Ga 0.0000 0.0000 0.1247 (multiplicity 3)
7 Ga 0.0000 0.0000 0.6261 (multiplicity 3)
8 Co 0.0000 0.0000 0.7504 (multiplicity 3)

***

[7]
Starting from a structure optimized by DFT (GGA-PBE), the powder XRD pattern of Na3ErCl6 was computed for λ = 1.5418 Å (Cu Kα).

Largest 10 diffraction maxima, in order of rising 2θ, 2θ = 15–90°:
15.39°, I = 47, hkl 1 0 0
15.54°, I = 59, hkl 1 0 -2
17.29°, I = 48, hkl 0 0 2
17.67°, I = 100, hkl 1 1 -1
24.73°, I = 51, hkl 1 1 1
24.91°, I = 46, hkl 1 1 -3
28.96°, I = 51, hkl 1 2 0
29.26°, I = 49, hkl 1 0 -4
29.83°, I = 53, hkl 2 1 -1
43.11°, I = 48, hkl 0 2 4

Structure:
Lattice parameters (Å, degrees): 6.9104 7.3031 12.3091 90.00 123.57 90.00
Space group P2_1/c (No. 14)
Asymmetric unit:
1 Na 0.0000 0.0000 0.0000 (multiplicity 2)
2 Na 0.2183 0.0753 0.7420 (multiplicity 4)
3 Er 0.5000 0.0000 0.5000 (multiplicity 2)
4 Cl 0.1232 0.1781 0.4351 (multiplicity 4)
5 Cl 0.2537 0.6970 0.4217 (multiplicity 4)
6 Cl 0.4003 0.0644 0.2631 (multiplicity 4)